Entry 1:
Structure and computed powder X-ray diffraction pattern of NdGaPd (DFT lattice parameters and positions (GGA-PBE); a wavelength of 1.5418 Å).
Kinematic intensities with the Lorentz-polarization factor, no thermal factor.

The 12 most intense peaks (10° ≤ 2θ ≤ 90°), by intensity:
| Position (°2θ) | I_rel |
| --- | --- |
| 33.97 | 1000 |
| 39.57 | 667 |
| 32.59 | 488 |
| 39.87 | 400 |
| 33.85 | 306 |
| 64.69 | 188 |
| 53.27 | 167 |
| 36.32 | 145 |
| 68.63 | 127 |
| 57.45 | 122 |
| 44.51 | 114 |
| 55.02 | 87 |

Cell and atoms:
a = 7.1272 Å, b = 4.5226 Å, c = 7.9121 Å
α = 90.00°, β = 90.00°, γ = 90.00°
Fractional coordinates of all 12 atoms:
Nd1 0.0238 0.2500 0.1964
Nd2 0.4762 0.7500 0.6964
Nd3 0.5238 0.2500 0.3036
Nd4 0.9762 0.7500 0.8036
Ga1 0.1682 0.2500 0.5721
Ga2 0.3318 0.7500 0.0721
Ga3 0.6682 0.2500 0.9279
Ga4 0.8318 0.7500 0.4279
Pd1 0.2204 0.7500 0.3987
Pd2 0.2796 0.2500 0.8987
Pd3 0.7204 0.7500 0.1013
Pd4 0.7796 0.2500 0.6013

***

Entry 2:
Structure and computed powder X-ray diffraction pattern of NdGa3Pd (DFT lattice parameters and positions (GGA-PBE); a wavelength of 1.5418 Å).
Kinematic intensities with the Lorentz-polarization factor, no thermal factor.

The 12 most intense peaks (10° ≤ 2θ ≤ 90°), by intensity:
| Position (°2θ) | I_rel |
| --- | --- |
| 34.21 | 1000 |
| 42.72 | 503 |
| 32.55 | 499 |
| 47.04 | 264 |
| 54.72 | 226 |
| 72.76 | 216 |
| 65.40 | 193 |
| 62.00 | 163 |
| 84.88 | 123 |
| 45.09 | 122 |
| 59.72 | 120 |
| 33.01 | 78 |

Cell and atoms:
a = 6.1986 Å, b = 6.1986 Å, c = 6.1986 Å
α = 140.07°, β = 140.07°, γ = 57.75°
Fractional coordinates of all 5 atoms:
Nd1 0.0000 0.0000 0.0000
Ga1 0.3855 0.3855 0.0000
Ga2 0.6145 0.6145 0.0000
Ga3 0.7500 0.2500 0.5000
Pd1 0.2500 0.7500 0.5000

***

Entry 3:
Structure and computed powder X-ray diffraction pattern of PmNdGa2 (DFT lattice parameters and positions (GGA-PBE); a wavelength of 1.5418 Å).
Kinematic intensities with the Lorentz-polarization factor, no thermal factor.

The 10 most intense peaks (10° ≤ 2θ ≤ 90°), by intensity:
| Position (°2θ) | I_rel |
| --- | --- |
| 34.38 | 1000 |
| 61.57 | 365 |
| 49.41 | 178 |
| 82.72 | 157 |
| 24.12 | 134 |
| 72.46 | 112 |
| 55.71 | 56 |
| 42.44 | 40 |
| 77.64 | 27 |
| 87.74 | 17 |

Cell and atoms:
a = 5.2174 Å, b = 5.2174 Å, c = 5.2174 Å
α = 60.00°, β = 60.00°, γ = 60.00°
Fractional coordinates of all 4 atoms:
Pm1 0.0000 0.0000 0.0000
Nd1 0.5000 0.5000 0.5000
Ga1 0.2500 0.2500 0.2500
Ga2 0.7500 0.7500 0.7500

***

Entry 4:
Structure and computed powder X-ray diffraction pattern of NdGa2Pt3 (DFT lattice parameters and positions (GGA-PBE); a wavelength of 1.5418 Å).
Kinematic intensities with the Lorentz-polarization factor, no thermal factor.

The 12 most intense peaks (10° ≤ 2θ ≤ 90°), by intensity:
| Position (°2θ) | I_rel |
| --- | --- |
| 36.98 | 1000 |
| 38.99 | 969 |
| 43.36 | 786 |
| 28.61 | 647 |
| 59.23 | 521 |
| 44.54 | 357 |
| 83.73 | 350 |
| 66.64 | 324 |
| 61.61 | 252 |
| 21.85 | 237 |
| 54.82 | 217 |
| 18.25 | 199 |

Cell and atoms:
a = 5.6134 Å, b = 5.6134 Å, c = 4.0683 Å
α = 90.00°, β = 90.00°, γ = 120.00°
Fractional coordinates of all 6 atoms:
Nd1 0.0000 0.0000 0.0000
Ga1 0.3333 0.6667 0.0000
Ga2 0.6667 0.3333 0.0000
Pt1 0.0000 0.5000 0.5000
Pt2 0.5000 0.0000 0.5000
Pt3 0.5000 0.5000 0.5000

***

Entry 5:
Structure and computed powder X-ray diffraction pattern of NdGa3Pt (DFT lattice parameters and positions (GGA-PBE); a wavelength of 1.5418 Å).
Kinematic intensities with the Lorentz-polarization factor, no thermal factor.

The 12 most intense peaks (10° ≤ 2θ ≤ 90°), by intensity:
| Position (°2θ) | I_rel |
| --- | --- |
| 34.34 | 1000 |
| 42.92 | 455 |
| 32.64 | 408 |
| 22.63 | 230 |
| 73.11 | 222 |
| 47.12 | 202 |
| 54.94 | 186 |
| 45.21 | 175 |
| 62.31 | 149 |
| 65.62 | 148 |
| 59.85 | 139 |
| 85.10 | 117 |

Cell and atoms:
a = 6.1873 Å, b = 6.1873 Å, c = 6.1873 Å
α = 140.17°, β = 140.17°, γ = 57.59°
Fractional coordinates of all 5 atoms:
Nd1 0.0000 0.0000 0.0000
Ga1 0.3852 0.3852 0.0000
Ga2 0.6148 0.6148 0.0000
Ga3 0.7500 0.2500 0.5000
Pt1 0.2500 0.7500 0.5000

***

Entry 6:
Structure and computed powder X-ray diffraction pattern of Nd2Ga9Ru3 (DFT lattice parameters and positions (GGA-PBE); a wavelength of 1.5418 Å).
Kinematic intensities with the Lorentz-polarization factor, no thermal factor.

The 12 most intense peaks (10° ≤ 2θ ≤ 90°), by intensity:
| Position (°2θ) | I_rel |
| --- | --- |
| 36.16 | 1000 |
| 41.02 | 848 |
| 35.93 | 563 |
| 41.60 | 404 |
| 36.32 | 344 |
| 71.29 | 194 |
| 37.38 | 179 |
| 55.94 | 176 |
| 29.76 | 169 |
| 40.88 | 158 |
| 71.70 | 157 |
| 72.36 | 152 |

Cell and atoms:
a = 7.5551 Å, b = 7.5551 Å, c = 9.8930 Å
α = 90.00°, β = 90.00°, γ = 60.88°
Fractional coordinates of all 28 atoms:
Nd1 0.0035 0.6693 0.7500
Nd2 0.3307 0.9965 0.7500
Nd3 0.6693 0.0035 0.2500
Nd4 0.9965 0.3307 0.2500
Ga1 0.0076 0.6646 0.0733
Ga2 0.0076 0.6646 0.4267
Ga3 0.1283 0.8717 0.2500
Ga4 0.3354 0.9924 0.0733
Ga5 0.3354 0.9924 0.4267
Ga6 0.3363 0.4545 0.2500
Ga7 0.3384 0.6616 0.5562
Ga8 0.3384 0.6616 0.9438
Ga9 0.4545 0.3363 0.7500
Ga10 0.5455 0.6637 0.2500
Ga11 0.6616 0.3384 0.0562
Ga12 0.6616 0.3384 0.4438
Ga13 0.6637 0.5455 0.7500
Ga14 0.6646 0.0076 0.5733
Ga15 0.6646 0.0076 0.9267
Ga16 0.8717 0.1283 0.7500
Ga17 0.9924 0.3354 0.5733
Ga18 0.9924 0.3354 0.9267
Ru1 0.0000 0.0000 0.0000
Ru2 0.0000 0.0000 0.5000
Ru3 0.3264 0.3264 0.0000
Ru4 0.3264 0.3264 0.5000
Ru5 0.6736 0.6736 0.0000
Ru6 0.6736 0.6736 0.5000

***

Entry 7:
Structure and computed powder X-ray diffraction pattern of Nd2ZnGa (DFT lattice parameters and positions (GGA-PBE); a wavelength of 1.5418 Å).
Kinematic intensities with the Lorentz-polarization factor, no thermal factor.

The 10 most intense peaks (10° ≤ 2θ ≤ 90°), by intensity:
| Position (°2θ) | I_rel |
| --- | --- |
| 34.28 | 1000 |
| 61.40 | 363 |
| 49.27 | 178 |
| 82.46 | 156 |
| 24.06 | 135 |
| 72.24 | 111 |
| 55.55 | 57 |
| 42.32 | 41 |
| 77.40 | 28 |
| 87.46 | 18 |

Cell and atoms:
a = 5.2311 Å, b = 5.2311 Å, c = 5.2311 Å
α = 60.00°, β = 60.00°, γ = 60.00°
Fractional coordinates of all 4 atoms:
Nd1 0.2500 0.2500 0.2500
Nd2 0.7500 0.7500 0.7500
Zn1 0.0000 0.0000 0.0000
Ga1 0.5000 0.5000 0.5000

***

Entry 8:
Structure and computed powder X-ray diffraction pattern of Ga3Ni5 (DFT lattice parameters and positions (GGA-PBE); a wavelength of 1.5418 Å).
Kinematic intensities with the Lorentz-polarization factor, no thermal factor.

The 12 most intense peaks (10° ≤ 2θ ≤ 90°), by intensity:
| Position (°2θ) | I_rel |
| --- | --- |
| 43.39 | 1000 |
| 49.03 | 182 |
| 48.54 | 182 |
| 53.92 | 125 |
| 87.82 | 118 |
| 71.47 | 94 |
| 87.08 | 88 |
| 75.84 | 85 |
| 75.46 | 75 |
| 38.35 | 29 |
| 45.72 | 24 |
| 81.10 | 18 |

Cell and atoms:
a = 5.0635 Å, b = 5.0635 Å, c = 3.7159 Å
α = 90.00°, β = 90.00°, γ = 95.61°
Fractional coordinates of all 8 atoms:
Ga1 0.0000 0.0000 0.0000
Ga2 0.2802 0.7198 0.5000
Ga3 0.7198 0.2802 0.5000
Ni1 0.0000 0.5000 0.0000
Ni2 0.2276 0.2276 0.5000
Ni3 0.5000 0.0000 0.0000
Ni4 0.5000 0.5000 0.0000
Ni5 0.7724 0.7724 0.5000

***

Entry 9:
Structure and computed powder X-ray diffraction pattern of GaNi (DFT lattice parameters and positions (GGA-PBE); a wavelength of 1.5418 Å).
Kinematic intensities with the Lorentz-polarization factor, no thermal factor.

The 3 most intense peaks (10° ≤ 2θ ≤ 90°), by intensity:
| Position (°2θ) | I_rel |
| --- | --- |
| 43.95 | 1000 |
| 80.80 | 304 |
| 63.90 | 154 |

Cell and atoms:
a = 2.9136 Å, b = 2.9136 Å, c = 2.9136 Å
α = 90.00°, β = 90.00°, γ = 90.00°
Fractional coordinates of all 2 atoms:
Ga1 0.0000 0.0000 0.0000
Ni1 0.5000 0.5000 0.5000